Diffraction record for CsAgSnTe. The powder X-ray diffraction pattern is theoretical, not measured: it uses the GGA-PBE geometry in Alexandria and λ = 1.5418 Å (Cu Kα).
Kinematic intensities with the Lorentz-polarization factor, no thermal factor.

Peak list (6 most intense, 2θ = 10–80°, in order of falling intensity)
| 2θ/deg | d/Å | I/Imax |
| --- | --- | --- |
| 30.8 | 2.905 | 100 |
| 26.6 | 3.346 | 60 |
| 40.6 | 2.221 | 44 |
| 45.9 | 1.977 | 40 |
| 23.2 | 3.839 | 27 |
| 37.1 | 2.425 | 25 |

Structure:
```
data_CsAgSnTe
_chemical_formula_sum 'Cs2 Ag2 Sn2 Te2'
_symmetry_space_group_name_H-M 'P 1'
_symmetry_Int_Tables_number 1
_symmetry_space_group_name_Hall 'P 1'
_cell_length_a 4.442
_cell_length_b 4.442
_cell_length_c 15.262
_cell_angle_alpha 90.00
_cell_angle_beta 90.00
_cell_angle_gamma 90.00
loop_
_atom_site_label
_atom_site_type_symbol
_atom_site_fract_x
_atom_site_fract_y
_atom_site_fract_z
Cs1 Cs 0.250 0.250 0.247
Cs2 Cs 0.750 0.750 0.753
Ag1 Ag 0.250 0.750 0.500
Ag2 Ag 0.750 0.250 0.500
Sn1 Sn 0.250 0.750 0.000
Sn2 Sn 0.750 0.250 0.000
Te1 Te 0.250 0.250 0.619
Te2 Te 0.750 0.750 0.381
```

***

Diffraction record for Ac2ErSi3Pd4. The powder X-ray diffraction pattern is theoretical, not measured: it uses the GGA-PBE geometry in Alexandria and λ = 1.5418 Å (Cu Kα).
Kinematic intensities with the Lorentz-polarization factor, no thermal factor.

Peak list (6 most intense, 2θ = 10–80°, in order of falling intensity)
| 2θ/deg | d/Å | I/Imax |
| --- | --- | --- |
| 33.2 | 2.697 | 100 |
| 41.2 | 2.193 | 42 |
| 31.9 | 2.803 | 36 |
| 70.0 | 1.344 | 23 |
| 21.8 | 4.071 | 21 |
| 46.4 | 1.957 | 18 |

Structure:
```
data_Ac2ErSi3Pd4
_chemical_formula_sum 'Ac2 Er1 Si3 Pd4'
_symmetry_space_group_name_H-M 'P 1'
_symmetry_Int_Tables_number 1
_symmetry_space_group_name_Hall 'P 1'
_cell_length_a 4.386
_cell_length_b 4.386
_cell_length_c 10.932
_cell_angle_alpha 90.00
_cell_angle_beta 90.00
_cell_angle_gamma 90.00
loop_
_atom_site_label
_atom_site_type_symbol
_atom_site_fract_x
_atom_site_fract_y
_atom_site_fract_z
Ac1 Ac 0.000 0.500 0.231
Ac2 Ac 0.500 0.000 0.769
Er1 Er 0.000 0.000 0.500
Si1 Si 0.000 0.500 0.885
Si2 Si 0.500 0.000 0.115
Si3 Si 0.500 0.500 0.500
Pd1 Pd 0.000 0.000 0.000
Pd2 Pd 0.000 0.500 0.656
Pd3 Pd 0.500 0.000 0.344
Pd4 Pd 0.500 0.500 0.000
```

***

Diffraction record for Ca3Cd8Hg3. The powder X-ray diffraction pattern is theoretical, not measured: it uses the GGA-PBE geometry in Alexandria and λ = 1.5418 Å (Cu Kα).
Kinematic intensities with the Lorentz-polarization factor, no thermal factor.

Peak list (6 most intense, 2θ = 10–80°, in order of falling intensity)
| 2θ/deg | d/Å | I/Imax |
| --- | --- | --- |
| 31.9 | 2.809 | 100 |
| 33.1 | 2.704 | 55 |
| 41.0 | 2.199 | 48 |
| 37.2 | 2.415 | 48 |
| 37.5 | 2.396 | 45 |
| 21.8 | 4.072 | 36 |

Structure:
```
data_Ca3Cd8Hg3
_chemical_formula_sum 'Ca3 Cd8 Hg3'
_symmetry_space_group_name_H-M 'P 1'
_symmetry_Int_Tables_number 1
_symmetry_space_group_name_Hall 'P 1'
_cell_length_a 8.976
_cell_length_b 8.976
_cell_length_c 8.976
_cell_angle_alpha 148.79
_cell_angle_beta 102.06
_cell_angle_gamma 86.32
loop_
_atom_site_label
_atom_site_type_symbol
_atom_site_fract_x
_atom_site_fract_y
_atom_site_fract_z
Ca1 Ca 0.000 0.000 0.000
Ca2 Ca 0.304 0.304 0.000
Ca3 Ca 0.696 0.696 0.000
Cd1 Cd 0.026 0.651 0.375
Cd2 Cd 0.129 0.858 0.271
Cd3 Cd 0.276 0.651 0.625
Cd4 Cd 0.413 0.142 0.271
Cd5 Cd 0.587 0.858 0.729
Cd6 Cd 0.724 0.349 0.375
Cd7 Cd 0.871 0.142 0.729
Cd8 Cd 0.974 0.349 0.625
Hg1 Hg 0.320 0.500 0.820
Hg2 Hg 0.500 0.000 0.500
Hg3 Hg 0.680 0.500 0.180
```